Starting from a DFT-relaxed cell (GGA+U, Alexandria), the powder diffractogram of Nd2Mn3Sb3O14 was computed for CuKα.

Peak list (6 most intense, 2θ from 10° to 90°, by angle)
| d_spacing | two_theta | intensity |
| --- | --- | --- |
| 3.042 | 29.4 | 51 |
| 3.019 | 29.6 | 100 |
| 2.948 | 30.3 | 46 |
| 2.616 | 34.3 | 40 |
| 1.859 | 49.0 | 49 |
| 1.815 | 50.3 | 30 |

Structure:
Cell: 12.4752 7.4456 7.3582 Å, 90.00 124.23 90.00°
Space group C2/m (No. 12)
One atom of each set of equivalent atoms:
Nd: 0.2500 0.2500 0.0000 x4
Mn: 0.0000 0.0000 0.0000 x2
Mn: 0.0000 0.0000 0.5000 x2
Mn: 0.0000 0.5000 0.5000 x2
Sb: 0.0000 0.5000 0.0000 x2
Sb: 0.2500 0.2500 0.5000 x4
O: 0.0888 0.5000 0.8512 x4
O: 0.1086 0.0000 0.8609 x4
O: 0.1226 0.2946 0.1760 x8
O: 0.1279 0.3038 0.5845 x8
O: 0.1745 0.0000 0.4389 x4